The following is a computed PXRD pattern of Li4In2H. It was derived from a crystal structure in Alexandria, relaxed with PBE, using copper Kα.
Neutral-atom scattering factors, no anomalous dispersion.

a b c (Å): 7.832 7.832 7.832
angles (deg): 150.89 150.89 41.64
Positions (direct):
Li 0.000 0.500 0.500
Li 0.128 0.128 0.000
Li 0.500 0.000 0.500
Li 0.872 0.872 0.000
In 0.316 0.316 0.000
In 0.684 0.684 0.000
H 0.000 0.000 0.000

Largest 12 diffraction maxima, by angle, 5° ≤ 2θ ≤ 70°:
| Position (°2θ) | I (rel.) |
| --- | --- |
| 12.1 | 86 |
| 23.4 | 27 |
| 29.1 | 100 |
| 32.2 | 46 |
| 34.5 | 38 |
| 36.8 | 11 |
| 38.3 | 45 |
| 46.1 | 19 |
| 49.7 | 15 |
| 55.5 | 31 |
| 60.5 | 13 |
| 61.4 | 22 |


The following is a computed PXRD pattern of LiIn2H2. It was derived from a crystal structure in Alexandria, relaxed with PBE, using copper Kα.
Neutral-atom scattering factors, no anomalous dispersion.

a b c (Å): 4.281 4.281 4.313
angles (deg): 90.00 90.00 90.00
Positions (direct):
Li 0.000 0.000 0.000
In 0.000 0.500 0.500
In 0.500 0.000 0.500
H 0.000 0.500 0.000
H 0.500 0.000 0.000

Largest 12 diffraction maxima, by angle, 5° ≤ 2θ ≤ 70°:
| Position (°2θ) | I (rel.) |
| --- | --- |
| 20.6 | 96 |
| 29.5 | 84 |
| 36.3 | 100 |
| 41.9 | 17 |
| 42.2 | 34 |
| 47.4 | 42 |
| 52.1 | 33 |
| 61.0 | 22 |
| 61.2 | 11 |
| 64.8 | 4 |
| 65.3 | 16 |
| 69.4 | 13 |


The following is a computed PXRD pattern of In2Mo2H. It was derived from a crystal structure in Alexandria, relaxed with PBE, using copper Kα.
Neutral-atom scattering factors, no anomalous dispersion.

a b c (Å): 5.830 5.830 4.796
angles (deg): 90.00 90.00 90.00
Positions (direct):
In 0.173 0.327 0.000
In 0.327 0.827 0.000
In 0.673 0.173 0.000
In 0.827 0.673 0.000
Mo 0.151 0.651 0.500
Mo 0.349 0.151 0.500
Mo 0.651 0.849 0.500
Mo 0.849 0.349 0.500
H 0.000 0.000 0.500
H 0.500 0.500 0.500

Largest 12 diffraction maxima, by angle, 5° ≤ 2θ ≤ 70°:
| Position (°2θ) | I (rel.) |
| --- | --- |
| 21.6 | 15 |
| 30.7 | 18 |
| 36.1 | 3 |
| 37.5 | 26 |
| 39.3 | 100 |
| 43.7 | 5 |
| 49.2 | 10 |
| 49.4 | 12 |
| 63.7 | 11 |
| 68.3 | 8 |
| 68.9 | 18 |
| 69.3 | 15 |